Diffraction record for Pm5YAl2. The powder diffractogram is simulated, not measured: it uses a crystal structure in Alexandria, relaxed with PBE and λ = 1.5418 Å (Cu Kα).
Kinematic intensities with the Lorentz-polarization factor, no thermal factor.

Atomic structure:
Unit cell a=5.413 b=5.413 c=19.955 alpha=90.00 beta=90.00 gamma=120.00
Atoms (fractional coordinates):
Pm1 0.000 0.000 0.155
Pm2 0.000 0.000 0.345
Pm3 0.000 0.000 0.655
Pm4 0.000 0.000 0.845
Pm5 0.333 0.667 0.055
Pm6 0.333 0.667 0.250
Pm7 0.333 0.667 0.445
Pm8 0.667 0.333 0.555
Pm9 0.667 0.333 0.750
Pm10 0.667 0.333 0.945
Y1 0.333 0.667 0.750
Y2 0.667 0.333 0.250
Al1 0.333 0.667 0.601
Al2 0.333 0.667 0.899
Al3 0.667 0.333 0.101
Al4 0.667 0.333 0.399

Main lines, low angle first (10 to 80 degrees two-theta):
| two_theta | I (rel.) | index |
| --- | --- | --- |
| 26.08 | 34.4 | 1 0 4 |
| 29.39 | 20.0 | 1 0 5 |
| 33.07 | 100.0 | 1 1 0 |
| 42.62 | 9.2 | 2 0 4 |
| 47.45 | 13.5 | 2 0 6 |
| 54.99 | 8.7 | 2 1 4 |
| 57.37 | 18.5 | 1 1 10 |
| 59.09 | 25.8 | 3 0 0 |
| 69.45 | 7.3 | 2 2 0 |
| 77.60 | 7.6 | 3 0 10 |